This entry pairs a crystal structure of PmZnCu5 with its theoretical XRD peak list. Radiation: Cu Kα (weighted mean of Kα1 and Kα2). Structure: a crystal structure in Alexandria, relaxed with GGA-PBE.

abc: 8.1390 5.0850 10.2539
angles: 90.00 90.00 90.00
Positions (direct):
Pm1 0.2408 0.2500 0.0618
Pm2 0.2592 0.7500 0.5618
Pm3 0.7408 0.2500 0.4382
Pm4 0.7592 0.7500 0.9382
Zn1 0.1436 0.7500 0.8595
Zn2 0.3564 0.2500 0.3595
Zn3 0.6436 0.7500 0.6405
Zn4 0.8564 0.2500 0.1405
Cu1 0.0630 0.7500 0.0983
Cu2 0.0659 0.0052 0.3092
Cu3 0.0659 0.4948 0.3092
Cu4 0.0935 0.2500 0.5160
Cu5 0.1822 0.2500 0.7526
Cu6 0.3178 0.7500 0.2526
Cu7 0.4065 0.7500 0.0160
Cu8 0.4341 0.5052 0.8092
Cu9 0.4341 0.9948 0.8092
Cu10 0.4370 0.2500 0.5983
Cu11 0.5630 0.7500 0.4017
Cu12 0.5659 0.0052 0.1908
Cu13 0.5659 0.4948 0.1908
Cu14 0.5935 0.2500 0.9840
Cu15 0.6822 0.2500 0.7474
Cu16 0.8178 0.7500 0.2474
Cu17 0.9065 0.7500 0.4840
Cu18 0.9341 0.5052 0.6908
Cu19 0.9341 0.9948 0.6908
Cu20 0.9370 0.2500 0.9017

Top 10 peaks for 2θ = 10–90°, by angle:
35.3°, d 2.542, I = 19.8
36.8°, d 2.445, I = 28.7
38.7°, d 2.329, I = 100.0
39.6°, d 2.278, I = 15.9
41.9°, d 2.156, I = 15.1
42.9°, d 2.110, I = 16.2
45.5°, d 1.995, I = 34.7
45.6°, d 1.989, I = 15.4
45.9°, d 1.979, I = 22.3
65.6°, d 1.423, I = 19.2

***

This entry pairs a crystal structure of Tb8Dy3Zr with its theoretical XRD peak list. Radiation: Cu Kα (weighted mean of Kα1 and Kα2). Structure: a crystal structure in Alexandria, relaxed with GGA-PBE.

abc: 9.3087 9.3087 9.3087
angles: 131.52 131.52 70.99
Positions (direct):
Tb1 0.1205 0.1205 0.4813
Tb2 0.1205 0.6392 0.0000
Tb3 0.3608 0.3608 0.4813
Tb4 0.3608 0.8795 0.0000
Tb5 0.6392 0.1205 0.0000
Tb6 0.6392 0.6392 0.5187
Tb7 0.8795 0.3608 0.0000
Tb8 0.8795 0.8795 0.5187
Dy1 0.2500 0.7500 0.5000
Dy2 0.5000 0.5000 0.0000
Dy3 0.7500 0.2500 0.5000
Zr1 0.0000 0.0000 0.0000

Top 10 peaks for 2θ = 10–90°, by angle:
20.2°, d 4.401, I = 35.1
23.3°, d 3.822, I = 17.2
33.1°, d 2.702, I = 50.6
33.3°, d 2.691, I = 100.0
39.1°, d 2.303, I = 12.8
47.6°, d 1.911, I = 18.1
59.3°, d 1.558, I = 36.9
59.6°, d 1.551, I = 18.1
69.9°, d 1.345, I = 11.0
79.3°, d 1.208, I = 15.3